Entry 1:
Theoretical PXRD pattern
Compound: PuRh3O6
Radiation: a wavelength of 1.5418 Å
Structure: a cell relaxed with GGA-PBE
Intensities are scaled so that the largest is 100.

Structure:
Lattice parameters (Å, degrees): 6.204 6.204 3.348 90.00 90.00 109.01
Fractional positions:
1 Pu 0.000 0.000 0.000
2 Rh 0.000 0.500 0.500
3 Rh 0.500 0.000 0.500
4 Rh 0.500 0.500 0.000
5 O 0.152 0.848 0.500
6 O 0.161 0.418 0.000
7 O 0.418 0.161 0.000
8 O 0.582 0.839 0.000
9 O 0.839 0.582 0.000
10 O 0.848 0.152 0.500

Peak list (10 most intense, 2θ from 10° to 90°, in order of rising 2θ)
Position (°2θ), d [Å], I_rel
15.1, 5.866, 30.7
30.5, 2.933, 100.0
32.1, 2.791, 93.0
35.5, 2.526, 23.7
36.6, 2.453, 44.0
50.7, 1.801, 15.4
52.0, 1.759, 59.3
60.7, 1.525, 15.4
61.3, 1.513, 29.0
64.0, 1.454, 24.1

---

Entry 2:
Theoretical PXRD pattern
Compound: Pm5Sm12Y
Radiation: a wavelength of 1.5418 Å
Structure: a cell relaxed with GGA-PBE
Intensities are scaled so that the largest is 100.

Structure:
Lattice parameters (Å, degrees): 10.584 10.584 5.838 90.01 90.01 111.04
Fractional positions:
1 Pm 0.000 0.000 0.000
2 Pm 0.137 0.863 0.500
3 Pm 0.365 0.635 0.000
4 Pm 0.635 0.365 0.000
5 Pm 0.863 0.137 0.500
6 Sm 0.028 0.668 0.997
7 Sm 0.167 0.527 0.502
8 Sm 0.202 0.202 0.484
9 Sm 0.300 0.300 0.984
10 Sm 0.332 0.972 0.003
11 Sm 0.473 0.833 0.498
12 Sm 0.527 0.167 0.502
13 Sm 0.668 0.028 0.997
14 Sm 0.700 0.700 0.016
15 Sm 0.798 0.798 0.516
16 Sm 0.833 0.473 0.498
17 Sm 0.972 0.332 0.003
18 Y 0.500 0.500 0.500

Peak list (10 most intense, 2θ from 10° to 90°, in order of rising 2θ)
Position (°2θ), d [Å], I_rel
25.3, 3.527, 8.7
30.6, 2.919, 33.0
30.8, 2.907, 36.0
31.2, 2.868, 100.0
43.9, 2.060, 16.1
54.8, 1.675, 22.6
54.9, 1.671, 8.1
55.8, 1.648, 11.5
61.4, 1.509, 8.6
62.5, 1.486, 8.8

---

Entry 3:
Theoretical PXRD pattern
Compound: Cs4Ag3PbF12
Radiation: a wavelength of 1.5418 Å
Structure: a cell relaxed with GGA-PBE
Intensities are scaled so that the largest is 100.

Structure:
Lattice parameters (Å, degrees): 8.016 8.016 8.016 109.47 109.47 109.47
Fractional positions:
1 Cs 0.000 0.000 0.500
2 Cs 0.000 0.500 0.000
3 Cs 0.500 0.000 0.000
4 Cs 0.500 0.500 0.500
5 Ag 0.000 0.500 0.500
6 Ag 0.500 0.000 0.500
7 Ag 0.500 0.500 0.000
8 Pb 0.000 0.000 0.000
9 F 0.000 0.232 0.232
10 F 0.000 0.768 0.768
11 F 0.232 0.000 0.232
12 F 0.232 0.232 0.000
13 F 0.250 0.500 0.750
14 F 0.250 0.750 0.500
15 F 0.500 0.250 0.750
16 F 0.500 0.750 0.250
17 F 0.750 0.250 0.500
18 F 0.750 0.500 0.250
19 F 0.768 0.000 0.768
20 F 0.768 0.768 0.000

Peak list (10 most intense, 2θ from 10° to 90°, in order of rising 2θ)
Position (°2θ), d [Å], I_rel
13.5, 6.545, 4.9
27.3, 3.272, 100.0
38.9, 2.314, 33.2
48.2, 1.889, 41.7
56.2, 1.636, 21.3
63.6, 1.463, 18.7
70.5, 1.336, 6.9
77.1, 1.237, 21.7
83.6, 1.157, 3.3
89.9, 1.091, 11.5

---

Entry 4:
Theoretical PXRD pattern
Compound: Nd2CdSb3Pd4
Radiation: a wavelength of 1.5418 Å
Structure: a cell relaxed with GGA-PBE
Intensities are scaled so that the largest is 100.

Structure:
Lattice parameters (Å, degrees): 4.473 4.473 11.189 90.00 90.00 90.00
Fractional positions:
1 Nd 0.000 0.500 0.236
2 Nd 0.500 0.000 0.764
3 Cd 0.000 0.000 0.500
4 Sb 0.000 0.500 0.867
5 Sb 0.500 0.000 0.133
6 Sb 0.500 0.500 0.500
7 Pd 0.000 0.000 0.000
8 Pd 0.000 0.500 0.638
9 Pd 0.500 0.000 0.362
10 Pd 0.500 0.500 0.000

Peak list (10 most intense, 2θ from 10° to 90°, in order of rising 2θ)
Position (°2θ), d [Å], I_rel
31.2, 2.865, 50.0
32.5, 2.753, 100.0
40.3, 2.237, 62.6
43.2, 2.095, 27.5
45.3, 2.001, 28.2
51.9, 1.763, 23.8
58.3, 1.582, 20.9
62.2, 1.491, 21.6
68.4, 1.371, 22.5
81.1, 1.186, 12.7

---

Entry 5:
Theoretical PXRD pattern
Compound: Ho2ScCo2
Radiation: a wavelength of 1.5418 Å
Structure: a cell relaxed with GGA-PBE
Intensities are scaled so that the largest is 100.

Structure:
Lattice parameters (Å, degrees): 5.641 5.641 5.641 139.11 118.99 76.08
Fractional positions:
1 Ho 0.200 0.200 0.000
2 Ho 0.800 0.800 0.000
3 Sc 0.500 0.000 0.500
4 Co 0.206 0.500 0.706
5 Co 0.794 0.500 0.294

Peak list (10 most intense, 2θ from 10° to 90°, in order of rising 2θ)
Position (°2θ), d [Å], I_rel
27.5, 3.246, 45.3
31.2, 2.864, 18.9
34.1, 2.631, 32.6
34.2, 2.621, 100.0
37.4, 2.407, 35.4
38.0, 2.368, 38.0
40.2, 2.242, 34.3
46.1, 1.970, 22.5
57.5, 1.604, 24.2
66.3, 1.410, 27.3

---

Entry 6:
Theoretical PXRD pattern
Compound: Dy2Ga2MoRu5
Radiation: a wavelength of 1.5418 Å
Structure: a cell relaxed with GGA-PBE
Intensities are scaled so that the largest is 100.

Structure:
Lattice parameters (Å, degrees): 10.107 10.107 3.300 90.00 90.00 90.00
Fractional positions:
1 Dy 0.171 0.329 0.000
2 Dy 0.329 0.829 0.000
3 Dy 0.671 0.171 0.000
4 Dy 0.829 0.671 0.000
5 Ga 0.128 0.628 0.000
6 Ga 0.372 0.128 0.000
7 Ga 0.628 0.872 0.000
8 Ga 0.872 0.372 0.000
9 Mo 0.000 0.000 0.000
10 Mo 0.500 0.500 0.000
11 Ru 0.000 0.500 0.500
12 Ru 0.064 0.804 0.500
13 Ru 0.196 0.064 0.500
14 Ru 0.304 0.564 0.500
15 Ru 0.436 0.304 0.500
16 Ru 0.500 0.000 0.500
17 Ru 0.564 0.696 0.500
18 Ru 0.696 0.436 0.500
19 Ru 0.804 0.936 0.500
20 Ru 0.936 0.196 0.500

Peak list (10 most intense, 2θ from 10° to 90°, in order of rising 2θ)
Position (°2θ), d [Å], I_rel
33.6, 2.665, 22.8
36.7, 2.451, 51.4
37.1, 2.424, 17.7
37.8, 2.382, 24.3
39.2, 2.296, 100.0
39.9, 2.260, 14.5
42.3, 2.137, 25.5
45.2, 2.006, 10.2
55.7, 1.650, 16.1
68.5, 1.369, 17.5

---

Entry 7:
Theoretical PXRD pattern
Compound: SrAcH6Pd2
Radiation: a wavelength of 1.5418 Å
Structure: a cell relaxed with GGA-PBE
Intensities are scaled so that the largest is 100.

Structure:
Lattice parameters (Å, degrees): 6.670 6.670 6.670 44.46 44.46 44.46
Fractional positions:
1 Sr 0.000 0.000 0.000
2 Ac 0.500 0.500 0.500
3 H 0.064 0.064 0.546
4 H 0.064 0.546 0.064
5 H 0.454 0.936 0.936
6 H 0.546 0.064 0.064
7 H 0.936 0.454 0.936
8 H 0.936 0.936 0.454
9 Pd 0.280 0.280 0.280
10 Pd 0.720 0.720 0.720

Peak list (10 most intense, 2θ from 10° to 90°, in order of rising 2θ)
Position (°2θ), d [Å], I_rel
20.9, 4.247, 27.1
28.5, 3.135, 100.0
32.2, 2.779, 31.3
35.6, 2.523, 69.6
45.3, 2.000, 18.8
46.2, 1.966, 26.8
58.9, 1.567, 20.7
59.6, 1.551, 24.9
63.9, 1.457, 12.7
82.4, 1.170, 11.8

---

Entry 8:
Theoretical PXRD pattern
Compound: PmHoTh2As4
Radiation: a wavelength of 1.5418 Å
Structure: a cell relaxed with GGA-PBE
Intensities are scaled so that the largest is 100.

Structure:
Lattice parameters (Å, degrees): 7.269 4.224 7.316 90.00 109.66 90.00
Fractional positions:
1 Pm 0.000 0.000 0.000
2 Ho 0.000 0.500 0.500
3 Th 0.500 0.000 0.500
4 Th 0.500 0.500 0.000
5 As 0.244 0.000 0.744
6 As 0.247 0.500 0.253
7 As 0.753 0.500 0.747
8 As 0.756 0.000 0.256

Peak list (10 most intense, 2θ from 10° to 90°, in order of rising 2θ)
Position (°2θ), d [Å], I_rel
25.9, 3.446, 24.9
26.0, 3.423, 8.2
30.0, 2.979, 100.0
42.8, 2.112, 38.2
43.0, 2.101, 37.6
53.2, 1.723, 20.3
62.3, 1.490, 12.6
70.5, 1.335, 17.5
70.9, 1.330, 17.2
78.6, 1.217, 13.0

---

Entry 9:
Theoretical PXRD pattern
Compound: TcAsBr2
Radiation: a wavelength of 1.5418 Å
Structure: a cell relaxed with GGA-PBE
Intensities are scaled so that the largest is 100.

Structure:
Lattice parameters (Å, degrees): 3.091 3.827 8.929 90.00 90.00 90.00
Fractional positions:
1 Tc 0.000 0.000 0.000
2 As 0.500 0.500 0.064
3 Br 0.000 0.000 0.731
4 Br 0.500 0.500 0.344

Peak list (10 most intense, 2θ from 10° to 90°, in order of rising 2θ)
Position (°2θ), d [Å], I_rel
25.3, 3.518, 89.2
30.0, 2.976, 65.4
30.6, 2.921, 54.3
37.4, 2.405, 100.0
38.8, 2.322, 21.5
47.1, 1.928, 36.9
47.5, 1.914, 24.9
48.7, 1.871, 71.8
50.4, 1.810, 30.1
71.8, 1.315, 20.6

---

Entry 10:
Theoretical PXRD pattern
Compound: Tb5Te5N
Radiation: a wavelength of 1.5418 Å
Structure: a cell relaxed with GGA-PBE
Intensities are scaled so that the largest is 100.

Structure:
Lattice parameters (Å, degrees): 7.278 7.278 8.398 107.62 107.62 48.96
Fractional positions:
1 Tb 0.000 0.000 0.000
2 Tb 0.352 0.352 0.138
3 Tb 0.363 0.363 0.723
4 Tb 0.637 0.637 0.277
5 Tb 0.648 0.648 0.862
6 Te 0.157 0.157 0.808
7 Te 0.178 0.178 0.338
8 Te 0.500 0.500 0.500
9 Te 0.822 0.822 0.662
10 Te 0.843 0.843 0.192
11 N 0.500 0.500 0.000

Peak list (10 most intense, 2θ from 10° to 90°, in order of rising 2θ)
Position (°2θ), d [Å], I_rel
29.6, 3.016, 100.0
30.0, 2.982, 82.8
30.5, 2.933, 68.5
31.1, 2.872, 33.8
35.6, 2.522, 36.0
42.6, 2.120, 63.1
43.0, 2.102, 74.6
43.5, 2.082, 22.2
53.2, 1.723, 23.1
53.5, 1.713, 34.0

---

Entry 11:
Theoretical PXRD pattern
Compound: BaAl5O9
Radiation: a wavelength of 1.5418 Å
Structure: a cell relaxed with GGA-PBE
Intensities are scaled so that the largest is 100.

Structure:
Lattice parameters (Å, degrees): 5.702 5.702 13.503 90.00 90.00 120.00
Fractional positions:
1 Ba 0.333 0.667 0.250
2 Ba 0.667 0.333 0.750
3 Al 0.000 0.000 0.121
4 Al 0.000 0.000 0.379
5 Al 0.000 0.000 0.621
6 Al 0.000 0.000 0.879
7 Al 0.000 0.500 0.000
8 Al 0.000 0.500 0.500
9 Al 0.500 0.000 0.000
10 Al 0.500 0.000 0.500
11 Al 0.500 0.500 0.000
12 Al 0.500 0.500 0.500
13 O 0.000 0.000 0.250
14 O 0.000 0.000 0.750
15 O 0.172 0.344 0.080
16 O 0.172 0.344 0.420
17 O 0.172 0.828 0.080
18 O 0.172 0.828 0.420
19 O 0.333 0.667 0.566
20 O 0.333 0.667 0.934
21 O 0.344 0.172 0.580
22 O 0.344 0.172 0.920
23 O 0.656 0.828 0.080
24 O 0.656 0.828 0.420
25 O 0.667 0.333 0.066
26 O 0.667 0.333 0.434
27 O 0.828 0.172 0.580
28 O 0.828 0.172 0.920
29 O 0.828 0.656 0.580
30 O 0.828 0.656 0.920

Peak list (10 most intense, 2θ from 10° to 90°, in order of rising 2θ)
Position (°2θ), d [Å], I_rel
19.1, 4.638, 100.0
26.8, 3.327, 38.8
31.4, 2.851, 33.1
32.1, 2.787, 36.0
34.1, 2.627, 47.7
41.7, 2.165, 47.4
49.3, 1.849, 15.4
51.8, 1.766, 15.9
56.3, 1.633, 15.4
65.5, 1.426, 18.1

---

Entry 12:
Theoretical PXRD pattern
Compound: ScNi6B
Radiation: a wavelength of 1.5418 Å
Structure: a cell relaxed with GGA-PBE
Intensities are scaled so that the largest is 100.

Structure:
Lattice parameters (Å, degrees): 5.276 5.276 5.276 58.17 58.17 58.17
Fractional positions:
1 Sc 0.000 0.000 0.000
2 Ni 0.063 0.600 0.600
3 Ni 0.400 0.400 0.937
4 Ni 0.400 0.937 0.400
5 Ni 0.600 0.063 0.600
6 Ni 0.600 0.600 0.063
7 Ni 0.937 0.400 0.400
8 B 0.500 0.500 0.500

Peak list (10 most intense, 2θ from 10° to 90°, in order of rising 2θ)
Position (°2θ), d [Å], I_rel
21.1, 4.207, 13.4
34.0, 2.636, 35.1
40.0, 2.257, 16.9
41.2, 2.190, 100.0
41.4, 2.183, 28.2
43.0, 2.103, 33.7
54.1, 1.694, 32.6
55.3, 1.662, 18.0
73.9, 1.282, 20.3
88.4, 1.106, 22.2

---

Entry 13:
Theoretical PXRD pattern
Compound: La2PrHg3
Radiation: a wavelength of 1.5418 Å
Structure: a cell relaxed with GGA-PBE
Intensities are scaled so that the largest is 100.

Structure:
Lattice parameters (Å, degrees): 3.897 3.897 11.686 90.00 90.00 90.00
Fractional positions:
1 La 0.000 0.000 0.168
2 La 0.000 0.000 0.832
3 Pr 0.000 0.000 0.500
4 Hg 0.500 0.500 0.000
5 Hg 0.500 0.500 0.337
6 Hg 0.500 0.500 0.663

Peak list (10 most intense, 2θ from 10° to 90°, in order of rising 2θ)
Position (°2θ), d [Å], I_rel
22.8, 3.897, 3.7
32.5, 2.755, 100.0
40.1, 2.250, 1.3
46.6, 1.948, 18.5
52.5, 1.743, 1.9
58.0, 1.591, 38.7
68.1, 1.378, 12.0
72.8, 1.299, 0.9
77.5, 1.232, 16.8
86.5, 1.125, 4.4